KNpCdTe3: computed PXRD pattern (Cu Kα (λ = 1.5418 Å)), based on a crystal structure in Alexandria, relaxed with PBE.
Kinematic intensities with the Lorentz-polarization factor, no thermal factor.

The 10 most intense peaks (2θ = 10–90°), low angle first:
(1 0 -1), 2θ 10.9, rel. 100; (0 0 3), 2θ 25.8, rel. 24; (2 1 -1), 2θ 27.2, rel. 50; (2 1 0), 2θ 27.7, rel. 38; (1 0 3), 2θ 30.3, rel. 17; (1 1 -3), 2θ 31.7, rel. 27; (3 1 -1), 2θ 34.5, rel. 16; (0 2 0), 2θ 39.4, rel. 21; (2 1 -4), 2θ 39.9, rel. 33; (3 1 2), 2θ 43.6, rel. 15

Structural model:
```
KNpCdTe3
1.0
9.501 0.000 0.000
0.000 4.569 0.000
-3.190 0.000 10.355
K Np Cd Te
2 2 2 6
Cartesian
1.280 1.142 2.485
5.031 3.427 7.870
0.331 3.427 8.890
5.980 1.142 1.465
-1.129 1.142 6.301
7.440 3.427 4.053
-1.858 1.142 9.019
0.498 3.427 5.586
3.863 3.427 1.626
2.448 1.142 8.729
5.813 1.142 4.769
8.169 3.427 1.336
```